1.
Diffraction record for Na3ScB2O6. The powder XRD pattern is computed, not measured: it uses DFT lattice parameters and positions (PBE) and Cu Kα.
Neutral-atom scattering factors, no anomalous dispersion.

Structural model:
Cell lengths 5.1339, 9.0675, 7.1652 Å; angles 90.00, 123.84, 90.00 degrees
Space group P2_1/c (No. 14)
One atom of each set of equivalent atoms:
Na1 0.0000 0.0000 0.0000
Na2 0.2601 0.1683 0.7574
Sc1 0.5000 0.0000 0.5000
B1 0.2257 0.6690 0.2378
O1 0.0652 0.1072 0.3430
O2 0.2679 0.6818 0.7901
O3 0.4718 0.5842 0.2685

Peak list (6 most intense, 2θ from 5° to 70°, by angle)
d_spacing, 2θ/deg, I (rel.), h k l
4.975, 17.83, 62, 0 1 1
2.592, 34.60, 93, 1 3 -1
2.488, 36.11, 79, 0 2 2
2.297, 39.23, 100, 1 1 -3
2.187, 41.28, 59, 2 2 -1
1.930, 47.10, 67, 2 2 0

2.
Diffraction record for NaSc3B4O12. The powder XRD pattern is computed, not measured: it uses DFT lattice parameters and positions (PBE) and Cu Kα.
Neutral-atom scattering factors, no anomalous dispersion.

Structural model:
Cell lengths 9.9048, 9.9048, 8.1719 Å; angles 90.00, 90.00, 120.00 degrees
Space group R32 (No. 155, hexagonal axes)
One atom of each set of equivalent atoms:
Na1 0.0000 0.0000 0.0000
Sc1 0.0000 0.5512 0.0000
B1 0.0000 0.0000 0.5000
B2 0.0000 0.4507 0.5000
O1 0.0000 0.5901 0.5000
O2 0.0000 0.8601 0.5000
O3 0.0200 0.2175 0.1911

Peak list (6 most intense, 2θ from 5° to 70°, by angle)
d_spacing, 2θ/deg, I (rel.), h k l
4.952, 17.91, 26, 1 1 0
3.798, 23.42, 19, 0 2 1
3.014, 29.64, 29, 2 1 1
2.958, 30.21, 100, 2 0 2
2.056, 44.05, 50, 3 1 2
1.651, 55.68, 18, 3 3 0

3.
Diffraction record for Na2ScBO4. The powder XRD pattern is computed, not measured: it uses DFT lattice parameters and positions (PBE) and Cu Kα.
Neutral-atom scattering factors, no anomalous dispersion.

Structural model:
Cell lengths 5.7873, 5.7873, 5.1057 Å; angles 90.00, 90.00, 90.00 degrees
Space group I-42m (No. 121)
One atom of each set of equivalent atoms:
Na1 0.0000 0.5000 0.0000
Sc1 0.0000 0.0000 0.0000
B1 0.0000 0.0000 0.5000
O1 0.1481 0.1481 0.3193

Peak list (6 most intense, 2θ from 5° to 70°, by angle)
d_spacing, 2θ/deg, I (rel.), h k l
4.092, 21.72, 33, 1 1 0
2.894, 30.90, 88, 2 0 0
2.308, 39.02, 100, 2 1 1
2.046, 44.27, 51, 2 2 0
1.914, 47.50, 90, 2 0 2
1.597, 57.74, 42, 2 2 2

4.
Diffraction record for Na2Sm2B2O7. The powder XRD pattern is computed, not measured: it uses DFT lattice parameters and positions (PBE) and Cu Kα.
Neutral-atom scattering factors, no anomalous dispersion.

Structural model:
Cell lengths 10.7985, 6.4161, 10.4885 Å; angles 90.00, 117.80, 90.00 degrees
Space group P2_1/c (No. 14)
One atom of each set of equivalent atoms:
Na1 0.0230 0.0570 0.2592
Na2 0.1105 0.7236 0.0486
Sm1 0.3147 0.0810 0.9119
Sm2 0.4828 0.5403 0.1808
B1 0.1810 0.2460 0.5781
B2 0.2899 0.6525 0.8510
O1 0.0993 0.1724 0.9424
O2 0.1280 0.1464 0.6587
O3 0.1835 0.7437 0.8669
O4 0.3280 0.2356 0.1325
O5 0.3466 0.7443 0.2719
O6 0.3484 0.0392 0.4125
O7 0.4747 0.6226 0.5985

Peak list (6 most intense, 2θ from 5° to 70°, by angle)
d_spacing, 2θ/deg, I (rel.), h k l
9.552, 9.26, 100, 1 0 0
3.493, 25.50, 14, 3 0 -2
3.150, 28.33, 16, 2 1 1
3.040, 29.38, 39, 1 1 -3
3.023, 29.55, 25, 2 1 -3
2.696, 33.24, 17, 4 0 -2